Simulated powder diffractogram
Compound: Tb2MgSe4
Radiation: λ = 1.5418 Å (Cu Kα)
Structure: a DFT-relaxed cell (GGA-PBE, the Materials Project)

Main lines, most intense first (2θ from 10° to 90°):
| (hkl) | 2θ (°) | d (Å) | I_rel |
| --- | --- | --- | --- |
| 3 2 1 | 30.97 | 2.887 | 1000 |
| 3 2 2 | 33.09 | 2.707 | 789 |
| 0 4 0 | 45.69 | 1.986 | 739 |
| 2 0 3 | 23.90 | 3.723 | 546 |
| 2 0 4 | 29.71 | 3.007 | 474 |
| 1 2 5 | 41.02 | 2.200 | 453 |
| 5 2 2 | 43.11 | 2.098 | 316 |
| 6 4 3 | 66.61 | 1.404 | 263 |
| 2 1 1 | 18.62 | 4.766 | 200 |
| 2 0 1 | 14.86 | 5.960 | 185 |

Crystal structure
Cell: 13.287 7.938 13.488 Å, 90.00 90.00 90.00°
Space group Pca2_1 (No. 29)
Unique sites:
Tb 0.108 0.118 0.000
Tb 0.128 0.619 0.640
Tb 0.133 0.372 0.305
Tb 0.133 0.871 0.306
Mg 0.111 0.618 0.005
Mg 0.126 0.122 0.635
Se 0.013 0.122 0.192
Se 0.022 0.627 0.183
Se 0.034 0.623 0.444
Se 0.043 0.128 0.451
Se 0.211 0.121 0.816
Se 0.212 0.620 0.834
Se 0.230 0.368 0.093
Se 0.232 0.872 0.092

Simulated powder diffractogram
Compound: Mg2NiH4
Radiation: λ = 1.5418 Å (Cu Kα)
Structure: a DFT-relaxed cell (GGA-PBE, the Materials Project)

Main lines, most intense first (2θ from 10° to 90°):
| (hkl) | 2θ (°) | d (Å) | I_rel |
| --- | --- | --- | --- |
| 1 1 1 | 23.24 | 3.827 | 1000 |
| 3 1 -1 | 24.16 | 3.684 | 848 |
| 4 2 0 | 39.15 | 2.301 | 705 |
| 2 2 -2 | 39.51 | 2.281 | 509 |
| 6 0 -2 | 40.07 | 2.250 | 325 |
| 7 1 -1 | 46.53 | 1.952 | 249 |
| 3 3 -1 | 47.09 | 1.930 | 232 |
| 2 0 2 | 37.72 | 2.385 | 225 |
| 1 1 -1 | 19.46 | 4.562 | 155 |
| 5 1 1 | 44.98 | 2.016 | 127 |

Crystal structure
Cell: 14.402 6.413 6.501 Å, 90.00 113.45 90.00°
Space group C2/c (No. 15)
Unique sites:
Mg 0.000 0.029 0.250
Mg 0.000 0.469 0.750
Mg 0.234 0.016 0.911
Ni 0.121 0.228 0.077
H 0.013 0.292 0.059
H 0.124 0.013 0.567
H 0.139 0.323 0.877
H 0.209 0.301 0.300

Simulated powder diffractogram
Compound: Hg5Cl2O4
Radiation: λ = 1.5418 Å (Cu Kα)
Structure: a DFT-relaxed cell (GGA-PBE, the Materials Project)

Main lines, most intense first (2θ from 10° to 90°):
| (hkl) | 2θ (°) | d (Å) | I_rel |
| --- | --- | --- | --- |
| 1 3 2 | 30.52 | 2.929 | 1000 |
| 2 0 2 | 32.34 | 2.768 | 844 |
| 0 0 4 | 29.78 | 3.001 | 572 |
| 1 2 1 | 21.90 | 4.059 | 513 |
| 1 3 0 | 26.57 | 3.355 | 348 |
| 1 3 4 | 40.33 | 2.236 | 277 |
| 2 0 6 | 54.49 | 1.684 | 222 |
| 3 3 4 | 58.79 | 1.571 | 200 |
| 1 3 6 | 53.32 | 1.718 | 199 |
| 3 3 0 | 49.44 | 1.843 | 184 |

Crystal structure
Cell: 6.240 11.938 12.002 Å, 90.00 90.00 90.00°
Space group Ibam (No. 72)
Unique sites:
Hg 0.000 0.000 0.250
Hg 0.000 0.341 0.250
Hg 0.215 0.139 0.000
Cl 0.230 0.391 0.000
O 0.199 0.146 0.176

Simulated powder diffractogram
Compound: RbLiAgO2
Radiation: λ = 1.5418 Å (Cu Kα)
Structure: a DFT-relaxed cell (GGA-PBE, the Materials Project)

Main lines, most intense first (2θ from 10° to 90°):
| (hkl) | 2θ (°) | d (Å) | I_rel |
| --- | --- | --- | --- |
| 1 0 1 | 28.92 | 3.087 | 1000 |
| 1 1 1 | 38.59 | 2.333 | 833 |
| 0 1 2 | 38.06 | 2.364 | 559 |
| 0 1 0 | 25.00 | 3.562 | 437 |
| 0 0 2 | 28.23 | 3.162 | 392 |
| 1 1 3 | 57.06 | 1.614 | 339 |
| 1 2 1 | 59.95 | 1.543 | 327 |
| 2 1 2 | 65.95 | 1.416 | 199 |
| 1 0 3 | 50.39 | 1.811 | 154 |
| 0 2 0 | 51.30 | 1.781 | 127 |

Crystal structure
Cell: 3.538 3.562 6.323 Å, 90.00 90.00 90.00°
Space group Pmmm (No. 47)
Unique sites:
Rb 0.000 0.000 0.000
Li 0.000 0.500 0.500
Ag 0.500 0.000 0.500
O 0.500 0.500 0.295

Simulated powder diffractogram
Compound: MgSnRu2
Radiation: λ = 1.5418 Å (Cu Kα)
Structure: a DFT-relaxed cell (GGA-PBE, the Materials Project)

Main lines, most intense first (2θ from 10° to 90°):
| (hkl) | 2θ (°) | d (Å) | I_rel |
| --- | --- | --- | --- |
| 2 2 0 | 40.20 | 2.243 | 1000 |
| 4 2 2 | 73.06 | 1.295 | 341 |
| 1 1 1 | 24.30 | 3.663 | 178 |
| 4 0 0 | 58.15 | 1.586 | 168 |
| 4 4 0 | 86.83 | 1.122 | 111 |
| 3 1 1 | 47.53 | 1.913 | 94 |
| 3 3 1 | 63.96 | 1.456 | 41 |
| 2 0 0 | 28.13 | 3.173 | 39 |
| 5 1 1 | 78.29 | 1.221 | 33 |
| 4 2 0 | 65.82 | 1.419 | 10 |

Crystal structure
Cell: 6.345 6.345 6.345 Å, 90.00 90.00 90.00°
Space group Fm-3m (No. 225)
Unique sites:
Mg 0.000 0.000 0.000
Sn 0.000 0.000 0.500
Ru 0.250 0.250 0.250

Simulated powder diffractogram
Compound: Cs3SbH2S4O
Radiation: λ = 1.5418 Å (Cu Kα)
Structure: a DFT-relaxed cell (GGA-PBE, the Materials Project)

Main lines, most intense first (2θ from 10° to 90°):
| (hkl) | 2θ (°) | d (Å) | I_rel |
| --- | --- | --- | --- |
| 0 2 3 | 26.79 | 3.328 | 1000 |
| 2 0 -4 | 22.60 | 3.934 | 562 |
| 1 2 -1 | 19.52 | 4.548 | 525 |
| 3 1 -2 | 28.74 | 3.106 | 479 |
| 1 0 2 | 21.87 | 4.064 | 446 |
| 1 2 -3 | 23.93 | 3.719 | 433 |
| 0 2 2 | 22.03 | 4.035 | 426 |
| 2 1 -1 | 20.70 | 4.290 | 386 |
| 1 3 0 | 28.46 | 3.137 | 383 |
| 1 0 -6 | 35.49 | 2.530 | 349 |

Crystal structure
Cell: 10.027 10.206 16.327 Å, 90.00 126.23 90.00°
Space group P2_1/c (No. 14)
Unique sites:
Cs 0.077 0.084 0.421
Cs 0.216 0.578 0.453
Cs 0.399 0.631 0.797
Sb 0.252 0.208 0.775
H 0.314 0.598 0.158
H 0.371 0.656 0.093
S 0.004 0.673 0.752
S 0.216 0.183 0.136
S 0.380 0.002 0.800
S 0.428 0.169 0.426
O 0.274 0.649 0.096

Simulated powder diffractogram
Compound: Mg16PaAl12
Radiation: λ = 1.5418 Å (Cu Kα)
Structure: a DFT-relaxed cell (GGA-PBE, the Materials Project)

Main lines, most intense first (2θ from 10° to 90°):
| (hkl) | 2θ (°) | d (Å) | I_rel |
| --- | --- | --- | --- |
| 1 1 0 | 11.61 | 7.623 | 1000 |
| 0 3 3 | 36.86 | 2.439 | 851 |
| 2 3 2 | 36.01 | 2.494 | 811 |
| 1 0 1 | 12.10 | 7.316 | 705 |
| 3 3 0 | 35.32 | 2.541 | 501 |
| 2 1 1 | 20.47 | 4.340 | 474 |
| 5 1 1 | 39.35 | 2.289 | 451 |
| 0 2 1 | 16.80 | 5.278 | 404 |
| 4 2 2 | 41.64 | 2.169 | 362 |
| 1 3 1 | 26.37 | 3.380 | 284 |

Crystal structure
Cell: 15.2455 15.2455 8.7893 Å, 90.00 90.00 120.00°
Space group R3m (No. 160, hexagonal axes)
Unique sites:
Mg 0.0000 0.0000 0.0000
Mg 0.0300 0.3592 0.3634
Mg 0.1054 0.5527 0.5513
Mg 0.1104 0.5552 0.1665
Mg 0.1990 0.3980 0.1194
Pa 0.0000 0.0000 0.3741
Al 0.0012 0.1806 0.1874
Al 0.1202 0.0601 0.6887
Al 0.2128 0.4257 0.5982